# Ti2Co4Pt
Simulated powder diffractogram, Cu Kα X-rays. Input: a structure optimized by DFT (GGA-PBE).
No peak broadening, texture or thermal motion is included.

Structure:
a = 3.291 Å, b = 3.291 Å, c = 17.097 Å
α = 90.00°, β = 90.00°, γ = 90.00°
Space group I4/mmm (No. 139)
Asymmetric unit:
Ti (0.000, 0.000, 0.097) [4 per cell]
Co (0.000, 0.000, 0.352) [4 per cell]
Co (0.000, 0.500, 0.250) [4 per cell]
Pt (0.000, 0.000, 0.500) [2 per cell]

Largest 10 diffraction maxima, by angle, 15° ≤ 2θ ≤ 90°:
(1 0 1), 27.60 deg, rel. 97; (1 0 5), 37.94 deg, rel. 92; (1 1 0), 38.69 deg, rel. 46; (1 1 2), 40.16 deg, rel. 100; (0 0 8), 42.29 deg, rel. 32; (1 0 7), 46.29 deg, rel. 84; (1 1 6), 50.64 deg, rel. 56; (2 0 0), 55.87 deg, rel. 55; (2 1 5), 69.53 deg, rel. 30; (2 1 7), 75.39 deg, rel. 38

# TiCoPt6
Simulated powder diffractogram, Cu Kα X-rays. Input: a structure optimized by DFT (GGA-PBE).
No peak broadening, texture or thermal motion is included.

Structure:
a = 5.551 Å, b = 5.551 Å, c = 3.904 Å
α = 90.00°, β = 90.00°, γ = 90.00°
Space group P4/mmm (No. 123)
Asymmetric unit:
Ti (0.000, 0.000, 0.000) [1 per cell]
Co (0.500, 0.500, 0.000) [1 per cell]
Pt (0.000, 0.500, 0.000) [2 per cell]
Pt (0.250, 0.250, 0.500) [4 per cell]

Largest 10 diffraction maxima, by angle, 15° ≤ 2θ ≤ 90°:
(1 1 0), 22.66 deg, rel. 10; (2 0 0), 32.31 deg, rel. 12; (2 0 1), 39.85 deg, rel. 100; (2 2 0), 46.26 deg, rel. 33; (0 0 2), 46.53 deg, rel. 16; (4 0 0), 67.50 deg, rel. 11; (2 2 2), 67.70 deg, rel. 21; (4 2 1), 81.35 deg, rel. 26; (2 0 3), 81.74 deg, rel. 13; (4 0 2), 85.94 deg, rel. 11

# Ti2CoPt
Simulated powder diffractogram, Cu Kα X-rays. Input: a structure optimized by DFT (GGA-PBE).
No peak broadening, texture or thermal motion is included.

Structure:
a = 4.470 Å, b = 2.810 Å, c = 9.219 Å
α = 90.00°, β = 90.00°, γ = 90.00°
Space group Pmma (No. 51)
Asymmetric unit:
Ti (0.250, 0.000, 0.123) [2 per cell]
Ti (0.250, 0.000, 0.662) [2 per cell]
Co (0.250, 0.500, 0.904) [2 per cell]
Pt (0.250, 0.500, 0.400) [2 per cell]

Largest 10 diffraction maxima, by angle, 15° ≤ 2θ ≤ 90°:
(1 0 1), 22.10 deg, rel. 12; (1 0 2), 27.80 deg, rel. 33; (0 1 0), 31.85 deg, rel. 13; (1 0 3), 35.45 deg, rel. 18; (0 0 4), 39.09 deg, rel. 32; (2 0 0), 40.35 deg, rel. 33; (1 1 2), 42.78 deg, rel. 100; (1 0 4), 44.21 deg, rel. 15; (2 0 4), 57.43 deg, rel. 14; (3 1 2), 75.04 deg, rel. 21